1.
Calculated PXRD pattern of ScO2 for CuKα, from a structure optimized by DFT (GGA-PBE).
Kinematic intensities with the Lorentz-polarization factor, no thermal factor.

Structure:
Cell lengths 6.049, 6.049, 3.971 Å; angles 90.00, 90.00, 147.75 degrees
Sites, in units of the cell vectors:
Sc 0.164 0.836 0.750
Sc 0.836 0.164 0.250
O 0.216 0.784 0.250
O 0.448 0.552 0.250
O 0.552 0.448 0.750
O 0.784 0.216 0.750

The 10 most intense peaks (15° ≤ 2θ ≤ 90°), most intense first:
2theta  I_rel
35.36  100
27.20  94
15.25  58
53.18  53
59.07  36
45.70  32
54.63  17
62.08  14
35.85  13
68.81  12

***

2.
Calculated PXRD pattern of AgCO3 for CuKα, from a structure optimized by DFT (GGA-PBE).
Kinematic intensities with the Lorentz-polarization factor, no thermal factor.

Structure:
Cell lengths 6.072, 6.072, 6.072 Å; angles 49.66, 49.66, 49.66 degrees
Sites, in units of the cell vectors:
Ag 0.000 0.000 0.000
Ag 0.500 0.500 0.500
C 0.250 0.250 0.250
C 0.750 0.750 0.750
O 0.003 0.750 0.497
O 0.250 0.503 0.997
O 0.497 0.003 0.750
O 0.503 0.997 0.250
O 0.750 0.497 0.003
O 0.997 0.250 0.503

The 10 most intense peaks (15° ≤ 2θ ≤ 90°), most intense first:
2theta  I_rel
30.22  100
23.03  69
35.20  38
49.56  34
42.48  27
56.31  22
50.25  21
47.05  16
60.10  15
63.16  10

***

3.
Calculated PXRD pattern of Sr2SbAu for CuKα, from a structure optimized by DFT (GGA-PBE).
Kinematic intensities with the Lorentz-polarization factor, no thermal factor.

Structure:
Cell lengths 5.612, 5.612, 5.612 Å; angles 60.00, 60.00, 60.00 degrees
Sites, in units of the cell vectors:
Sr 0.250 0.250 0.250
Sr 0.750 0.750 0.750
Sb 0.000 0.000 0.000
Au 0.500 0.500 0.500

The 10 most intense peaks (15° ≤ 2θ ≤ 90°), most intense first:
2theta  I_rel
31.89  100
56.83  38
45.73  18
75.81  17
66.66  12
22.40  10
19.37  5
51.50  4
84.60  4
37.59  3

***

4.
Calculated PXRD pattern of HfZnS3O12 for CuKα, from a structure optimized by DFT (GGA-PBE).
Kinematic intensities with the Lorentz-polarization factor, no thermal factor.

Structure:
Cell lengths 9.077, 9.077, 9.077 Å; angles 57.87, 57.87, 57.87 degrees
Sites, in units of the cell vectors:
Hf 0.000 0.000 0.000
Hf 0.500 0.500 0.500
Zn 0.209 0.209 0.209
Zn 0.709 0.709 0.709
S 0.101 0.820 0.400
S 0.320 0.601 0.900
S 0.400 0.101 0.820
S 0.601 0.900 0.320
S 0.820 0.400 0.101
S 0.900 0.320 0.601
O 0.064 0.286 0.441
O 0.084 0.844 0.230
O 0.129 0.978 0.369
O 0.149 0.772 0.921
O 0.230 0.084 0.844
O 0.272 0.649 0.421
O 0.286 0.441 0.064
O 0.344 0.584 0.730
O 0.369 0.129 0.978
O 0.421 0.272 0.649
O 0.441 0.064 0.286
O 0.478 0.629 0.869
O 0.564 0.941 0.786
O 0.584 0.730 0.344
O 0.629 0.869 0.478
O 0.649 0.421 0.272
O 0.730 0.344 0.584
O 0.772 0.921 0.149
O 0.786 0.564 0.941
O 0.844 0.230 0.084
O 0.869 0.478 0.629
O 0.921 0.149 0.772
O 0.941 0.786 0.564
O 0.978 0.369 0.129

The 10 most intense peaks (15° ≤ 2θ ≤ 90°), most intense first:
2theta  I_rel
19.58  100
31.31  71
20.22  69
28.29  62
23.45  57
35.03  34
35.41  32
51.45  27
47.97  22
55.35  22

***

5.
Calculated PXRD pattern of MgAl2H4Pb2O4F6 for CuKα, from a structure optimized by DFT (GGA-PBE).
Kinematic intensities with the Lorentz-polarization factor, no thermal factor.

Structure:
Cell lengths 5.445, 6.439, 7.855 Å; angles 80.07, 88.70, 71.13 degrees
Sites, in units of the cell vectors:
Mg 0.000 0.000 0.000
Al 0.411 0.166 0.950
Al 0.654 0.795 0.249
H 0.259 0.795 0.407
H 0.482 0.748 0.983
H 0.616 0.228 0.218
H 0.718 0.150 0.712
Pb 0.095 0.309 0.461
Pb 0.667 0.609 0.686
O 0.408 0.844 0.425
O 0.413 0.860 0.058
O 0.634 0.107 0.153
O 0.709 0.071 0.829
F 0.110 0.238 0.073
F 0.203 0.121 0.785
F 0.352 0.455 0.859
F 0.691 0.499 0.275
F 0.904 0.756 0.425
F 0.936 0.731 0.110

The 10 most intense peaks (15° ≤ 2θ ≤ 90°), most intense first:
2theta  I_rel
18.72  100
20.92  72
20.25  56
29.38  50
28.37  38
27.33  38
21.07  35
38.52  34
30.01  34
25.13  34

***

6.
Calculated PXRD pattern of K2PtO6 for CuKα, from a structure optimized by DFT (GGA-PBE).
Kinematic intensities with the Lorentz-polarization factor, no thermal factor.

Structure:
Cell lengths 5.470, 5.530, 6.112 Å; angles 76.29, 79.16, 86.07 degrees
Sites, in units of the cell vectors:
K 0.245 0.259 0.496
K 0.755 0.741 0.504
Pt 0.500 0.000 0.000
O 0.097 0.485 0.928
O 0.229 0.868 0.227
O 0.261 0.765 0.452
O 0.739 0.235 0.548
O 0.771 0.132 0.773
O 0.903 0.515 0.072

The 10 most intense peaks (15° ≤ 2θ ≤ 90°), most intense first:
2theta  I_rel
16.51  100
23.72  58
33.38  49
23.13  48
19.73  48
20.38  46
28.74  45
30.60  35
32.66  32
34.19  31

***

7.
Calculated PXRD pattern of Sm2O3 for CuKα, from a structure optimized by DFT (GGA-PBE).
Kinematic intensities with the Lorentz-polarization factor, no thermal factor.

Structure:
Cell lengths 3.892, 3.892, 5.714 Å; angles 90.00, 90.00, 90.00 degrees
Sites, in units of the cell vectors:
Sm 0.000 0.500 0.213
Sm 0.500 0.000 0.787
O 0.000 0.000 0.000
O 0.000 0.000 0.500
O 0.500 0.500 0.000

The 10 most intense peaks (15° ≤ 2θ ≤ 90°), most intense first:
2theta  I_rel
27.73  100
45.78  30
55.17  30
32.54  24
46.68  17
53.57  10
31.31  10
86.01  9
15.51  9
39.12  8

***

8.
Calculated PXRD pattern of CeCu2Si for CuKα, from a structure optimized by DFT (GGA-PBE).
Kinematic intensities with the Lorentz-polarization factor, no thermal factor.

Structure:
Cell lengths 8.926, 8.926, 4.078 Å; angles 90.00, 90.00, 154.23 degrees
Sites, in units of the cell vectors:
Ce 0.110 0.890 0.750
Ce 0.890 0.110 0.250
Cu 0.251 0.749 0.250
Cu 0.462 0.538 0.750
Cu 0.538 0.462 0.250
Cu 0.749 0.251 0.750
Si 0.326 0.674 0.750
Si 0.674 0.326 0.250

The 10 most intense peaks (15° ≤ 2θ ≤ 90°), most intense first:
2theta  I_rel
35.09  100
34.22  32
38.07  27
44.43  22
67.78  21
45.57  21
24.10  16
27.17  15
57.25  14
60.84  13

***

9.
Calculated PXRD pattern of Pb4Au for CuKα, from a structure optimized by DFT (GGA-PBE).
Kinematic intensities with the Lorentz-polarization factor, no thermal factor.

Structure:
Cell lengths 7.859, 7.859, 7.859 Å; angles 60.00, 60.00, 60.00 degrees
Sites, in units of the cell vectors:
Pb 0.185 0.772 0.772
Pb 0.228 0.228 0.228
Pb 0.228 0.228 0.815
Pb 0.228 0.815 0.228
Pb 0.772 0.185 0.772
Pb 0.772 0.772 0.185
Pb 0.772 0.772 0.772
Pb 0.815 0.228 0.228
Au 0.375 0.375 0.375
Au 0.625 0.625 0.625

The 10 most intense peaks (15° ≤ 2θ ≤ 90°), most intense first:
2theta  I_rel
27.81  100
42.25  49
46.21  46
35.20  44
22.63  30
32.22  24
54.79  24
69.19  19
59.39  19
62.54  13

***

10.
Calculated PXRD pattern of Er2CuGe6 for CuKα, from a structure optimized by DFT (GGA-PBE).
Kinematic intensities with the Lorentz-polarization factor, no thermal factor.

Structure:
Cell lengths 4.084, 10.839, 10.839 Å; angles 21.54, 90.00, 90.00 degrees
Sites, in units of the cell vectors:
Er 0.000 0.000 0.000
Er 0.000 0.336 0.336
Cu 0.500 0.781 0.781
Ge 0.000 0.603 0.603
Ge 0.000 0.720 0.720
Ge 0.500 0.102 0.102
Ge 0.500 0.220 0.220
Ge 0.500 0.463 0.463
Ge 0.500 0.890 0.890

The 10 most intense peaks (15° ≤ 2θ ≤ 90°), most intense first:
2theta  I_rel
33.63  100
44.35  36
44.75  20
33.45  19
37.75  19
74.81  14
43.29  13
64.85  13
25.32  10
64.52  10

***

11.
Calculated PXRD pattern of MgTe4MoW3S4 for CuKα, from a structure optimized by DFT (GGA-PBE).
Kinematic intensities with the Lorentz-polarization factor, no thermal factor.

Structure:
Cell lengths 3.364, 3.364, 43.847 Å; angles 90.00, 90.00, 120.00 degrees
Sites, in units of the cell vectors:
Mg 0.000 0.000 0.000
Te 0.333 0.667 0.246
Te 0.333 0.667 0.333
Te 0.667 0.333 0.682
Te 0.667 0.333 0.769
Mo 0.667 0.333 0.908
W 0.333 0.667 0.108
W 0.333 0.667 0.725
W 0.667 0.333 0.289
S 0.333 0.667 0.874
S 0.333 0.667 0.943
S 0.667 0.333 0.074
S 0.667 0.333 0.143

The 10 most intense peaks (15° ≤ 2θ ≤ 90°), most intense first:
2theta  I_rel
34.88  100
40.94  88
37.05  55
30.70  49
54.57  37
32.38  33
43.88  27
30.97  25
55.64  20
70.41  17